Structure and computed powder diffractogram of Nd2SmDy4Er2 (DFT lattice parameters and positions (GGA-PBE); Cu Kα).
No peak broadening, texture or thermal motion is included.

Principal peaks in the range 2θ from 5° to 70°, low angle first:
2θ = 29.70°, rel. 41; 2θ = 31.33°, rel. 59; 2θ = 31.73°, rel. 100; 2θ = 32.26°, rel. 45; 2θ = 32.32°, rel. 49; 2θ = 42.83°, rel. 15; 2θ = 48.01°, rel. 17; 2θ = 55.65°, rel. 20; 2θ = 56.74°, rel. 18; 2θ = 58.46°, rel. 18

Structure:
Unit cell a=6.0209 b=6.6350 c=8.5969 alpha=79.90 beta=70.42 gamma=65.05
Fractional coordinates of all 9 atoms:
Nd1 0.2306 0.3271 0.3425
Nd2 0.7694 0.6729 0.6575
Sm1 0.5000 0.0000 0.0000
Dy1 0.1194 0.1284 0.7600
Dy2 0.2380 0.5781 0.8844
Dy3 0.7620 0.4219 0.1156
Dy4 0.8806 0.8716 0.2400
Er1 0.3202 0.7699 0.4454
Er2 0.6798 0.2301 0.5546

Structure and computed powder diffractogram of Zn12In (DFT lattice parameters and positions (GGA-PBE); Cu Kα).
No peak broadening, texture or thermal motion is included.

Principal peaks in the range 2θ from 5° to 70°, low angle first:
2θ = 27.84°, rel. 17; 2θ = 33.37°, rel. 20; 2θ = 34.44°, rel. 46; 2θ = 39.14°, rel. 83; 2θ = 40.09°, rel. 100; 2θ = 40.40°, rel. 67; 2θ = 44.28°, rel. 60; 2θ = 45.13°, rel. 21; 2θ = 45.42°, rel. 25; 2θ = 64.19°, rel. 23

Structure:
Unit cell a=6.8623 b=6.8623 c=6.8623 alpha=98.81 beta=98.81 gamma=133.92
Fractional coordinates of all 13 atoms:
Zn1 0.0000 0.0000 0.5000
Zn2 0.0000 0.2242 0.2242
Zn3 0.0000 0.5000 0.0000
Zn4 0.0000 0.7758 0.7758
Zn5 0.1484 0.5000 0.6484
Zn6 0.2242 0.0000 0.2242
Zn7 0.5000 0.0000 0.0000
Zn8 0.5000 0.1484 0.6484
Zn9 0.5000 0.5000 0.5000
Zn10 0.5000 0.8516 0.3516
Zn11 0.7758 0.0000 0.7758
Zn12 0.8516 0.5000 0.3516
In1 0.5000 0.5000 0.0000

Structure and computed powder diffractogram of NaIn4Au5 (DFT lattice parameters and positions (GGA-PBE); Cu Kα).
No peak broadening, texture or thermal motion is included.

Principal peaks in the range 2θ from 5° to 70°, low angle first:
2θ = 15.84°, rel. 72; 2θ = 23.51°, rel. 61; 2θ = 24.54°, rel. 46; 2θ = 28.61°, rel. 76; 2θ = 33.53°, rel. 60; 2θ = 37.66°, rel. 47; 2θ = 37.94°, rel. 100; 2θ = 38.26°, rel. 97; 2θ = 38.42°, rel. 93; 2θ = 39.15°, rel. 72

Structure:
Unit cell a=5.6182 b=6.2500 c=7.1883 alpha=114.57 beta=101.51 gamma=93.34
Fractional coordinates of all 10 atoms:
Na1 0.0000 0.0000 0.0000
In1 0.4256 0.7353 0.6308
In2 0.5318 0.3334 0.1835
In3 0.7255 0.4221 0.8339
In4 0.8801 0.9735 0.4422
Au1 0.0991 0.5605 0.2102
Au2 0.2085 0.3556 0.8052
Au3 0.3867 0.0759 0.4491
Au4 0.5067 0.8374 0.0590
Au5 0.9035 0.5825 0.5600

Structure and computed powder diffractogram of Er3GaCu8 (DFT lattice parameters and positions (GGA-PBE); Cu Kα).
No peak broadening, texture or thermal motion is included.

Principal peaks in the range 2θ from 5° to 70°, low angle first:
2θ = 21.23°, rel. 8; 2θ = 31.98°, rel. 7; 2θ = 34.90°, rel. 35; 2θ = 35.03°, rel. 38; 2θ = 41.15°, rel. 34; 2θ = 41.29°, rel. 100; 2θ = 43.23°, rel. 21; 2θ = 62.78°, rel. 20; 2θ = 66.89°, rel. 6; 2θ = 67.04°, rel. 30

Structure:
Unit cell a=8.9159 b=8.9159 c=8.9159 alpha=33.39 beta=33.39 gamma=33.39
Fractional coordinates of all 12 atoms:
Er1 0.0000 0.0000 0.0000
Er2 0.1267 0.1267 0.1267
Er3 0.6133 0.6133 0.6133
Ga1 0.4895 0.4895 0.4895
Cu1 0.0562 0.0562 0.5639
Cu2 0.0562 0.5639 0.0562
Cu3 0.0597 0.5593 0.5593
Cu4 0.3082 0.3082 0.3082
Cu5 0.5593 0.0597 0.5593
Cu6 0.5593 0.5593 0.0597
Cu7 0.5639 0.0562 0.0562
Cu8 0.8096 0.8096 0.8096

Structure and computed powder diffractogram of Ce6CoBi2H (DFT lattice parameters and positions (GGA-PBE); Cu Kα).
No peak broadening, texture or thermal motion is included.

Principal peaks in the range 2θ from 5° to 70°, low angle first:
2θ = 24.99°, rel. 5; 2θ = 30.89°, rel. 100; 2θ = 35.09°, rel. 21; 2θ = 36.17°, rel. 41; 2θ = 44.47°, rel. 2; 2θ = 51.29°, rel. 29; 2θ = 52.09°, rel. 15; 2θ = 60.36°, rel. 13; 2θ = 61.80°, rel. 28; 2θ = 64.36°, rel. 14

Structure:
Unit cell a=4.9663 b=4.9663 c=10.2283 alpha=90.00 beta=90.00 gamma=90.00
Fractional coordinates of all 10 atoms:
Ce1 0.0000 0.0000 0.2286
Ce2 0.0000 0.0000 0.7714
Ce3 0.0000 0.5000 0.0000
Ce4 0.0000 0.5000 0.5000
Ce5 0.5000 0.0000 0.0000
Ce6 0.5000 0.0000 0.5000
Co1 0.0000 0.0000 0.5000
Bi1 0.5000 0.5000 0.2469
Bi2 0.5000 0.5000 0.7531
H1 0.0000 0.0000 0.0000

Structure and computed powder diffractogram of Cs8Na4YHo3Cl24 (DFT lattice parameters and positions (GGA-PBE); Cu Kα).
No peak broadening, texture or thermal motion is included.

Principal peaks in the range 2θ from 5° to 70°, low angle first:
2θ = 14.09°, rel. 29; 2θ = 23.10°, rel. 100; 2θ = 27.16°, rel. 14; 2θ = 28.39°, rel. 31; 2θ = 32.90°, rel. 67; 2θ = 40.58°, rel. 46; 2θ = 47.21°, rel. 46; 2θ = 53.20°, rel. 22; 2θ = 58.74°, rel. 15; 2θ = 63.98°, rel. 25

Structure:
Unit cell a=25.5434 b=25.5434 c=25.5434 alpha=17.34 beta=17.34 gamma=17.34
Fractional coordinates of all 40 atoms:
Cs1 0.0625 0.0625 0.0625
Cs2 0.1875 0.1875 0.1875
Cs3 0.3125 0.3125 0.3125
Cs4 0.4375 0.4375 0.4375
Cs5 0.5625 0.5625 0.5625
Cs6 0.6875 0.6875 0.6875
Cs7 0.8125 0.8125 0.8125
Cs8 0.9375 0.9375 0.9375
Na1 0.1250 0.1250 0.1250
Na2 0.3751 0.3751 0.3751
Na3 0.6249 0.6249 0.6249
Na4 0.8750 0.8750 0.8750
Y1 0.0000 0.0000 0.0000
Ho1 0.2500 0.2500 0.2500
Ho2 0.5000 0.5000 0.5000
Ho3 0.7500 0.7500 0.7500
Cl1 0.0521 0.5688 0.5688
Cl2 0.0687 0.0687 0.5522
Cl3 0.0687 0.5522 0.0687
Cl4 0.1823 0.1823 0.6963
Cl5 0.1823 0.6963 0.1823
Cl6 0.1978 0.6813 0.6813
Cl7 0.3037 0.8177 0.8177
Cl8 0.3187 0.3187 0.8022
Cl9 0.3187 0.8022 0.3187
Cl10 0.4312 0.4312 0.9479
Cl11 0.4312 0.9479 0.4312
Cl12 0.4478 0.9313 0.9313
Cl13 0.5522 0.0687 0.0687
Cl14 0.5688 0.0521 0.5688
Cl15 0.5688 0.5688 0.0521
Cl16 0.6813 0.1978 0.6813
Cl17 0.6813 0.6813 0.1978
Cl18 0.6963 0.1823 0.1823
Cl19 0.8022 0.3187 0.3187
Cl20 0.8177 0.3037 0.8177
Cl21 0.8177 0.8177 0.3037
Cl22 0.9313 0.4478 0.9313
Cl23 0.9313 0.9313 0.4478
Cl24 0.9479 0.4312 0.4312

Structure and computed powder diffractogram of Li4La3In4 (DFT lattice parameters and positions (GGA-PBE); Cu Kα).
No peak broadening, texture or thermal motion is included.

Principal peaks in the range 2θ from 5° to 70°, low angle first:
2θ = 5.59°, rel. 39; 2θ = 16.82°, rel. 61; 2θ = 22.37°, rel. 64; 2θ = 31.41°, rel. 100; 2θ = 32.28°, rel. 64; 2θ = 32.95°, rel. 73; 2θ = 35.13°, rel. 52; 2θ = 35.84°, rel. 89; 2θ = 48.45°, rel. 41; 2θ = 64.82°, rel. 36

Structure:
Unit cell a=3.5138 b=5.1084 c=16.1105 alpha=80.91 beta=83.75 gamma=89.99
Fractional coordinates of all 11 atoms:
Li1 0.0932 0.0931 0.3136
Li2 0.2403 0.7403 0.0188
Li3 0.7597 0.2597 0.9812
Li4 0.9068 0.9069 0.6864
La1 0.3578 0.3579 0.7848
La2 0.5000 0.0000 0.5000
La3 0.6422 0.6421 0.2152
In1 0.0489 0.5493 0.4014
In2 0.1857 0.1856 0.1280
In3 0.8143 0.8144 0.8720
In4 0.9511 0.4507 0.5986

Structure and computed powder diffractogram of Na2CdSbS4 (DFT lattice parameters and positions (GGA-PBE); Cu Kα).
No peak broadening, texture or thermal motion is included.

Principal peaks in the range 2θ from 5° to 70°, low angle first:
2θ = 13.57°, rel. 56; 2θ = 13.85°, rel. 40; 2θ = 26.24°, rel. 21; 2θ = 27.33°, rel. 20; 2θ = 27.91°, rel. 19; 2θ = 31.86°, rel. 50; 2θ = 32.07°, rel. 100; 2θ = 45.23°, rel. 18; 2θ = 45.83°, rel. 68; 2θ = 56.38°, rel. 17

Structure:
Unit cell a=7.9218 b=7.9218 c=7.9218 alpha=121.22 beta=119.18 gamma=89.66
Fractional coordinates of all 16 atoms:
Na1 0.0000 0.0000 0.0000
Na2 0.5000 0.0000 0.0000
Na3 0.5000 0.0000 0.5000
Na4 0.5000 0.5000 0.5000
Cd1 0.0000 0.5000 0.5000
Cd2 0.5000 0.5000 0.0000
Sb1 0.0000 0.0000 0.5000
Sb2 0.0000 0.5000 0.0000
S1 0.2312 0.7490 0.4821
S2 0.2331 0.2510 0.9821
S3 0.2351 0.2471 0.5120
S4 0.2351 0.7231 0.9880
S5 0.7649 0.2769 0.0120
S6 0.7649 0.7529 0.4880
S7 0.7669 0.7490 0.0179
S8 0.7688 0.2510 0.5179